Starting from a PBE-relaxed structure, the powder XRD pattern of Ac6Y3Ho was calculated for Cu Ka.

Cell and atoms:
```
Ac6Y3Ho
1.0
8.371 4.833 3.300
-8.371 4.833 3.300
0.000 -9.666 3.300
Ac Y Ho
12 6 2
Cartesian
-2.468 -3.378 3.487 Ac
-5.327 2.477 3.247 Ac
0.519 -5.851 3.247 Ac
-4.808 -3.375 6.651 Ac
-1.692 3.826 3.487 Ac
-4.159 0.448 6.412 Ac
4.159 -0.448 3.487 Ac
1.692 -3.826 6.412 Ac
4.808 3.375 3.247 Ac
-0.519 5.851 6.651 Ac
5.327 -2.477 6.651 Ac
2.468 3.378 6.412 Ac
-2.300 0.224 2.864 Y
0.956 -2.104 2.864 Y
1.344 1.880 2.864 Y
-1.344 -1.880 7.034 Y
-0.956 2.104 7.034 Y
2.300 -0.224 7.034 Y
0.000 0.000 0.000 Ho
0.000 0.000 4.949 Ho
```

Principal peaks in the range 10° ≤ 2θ ≤ 90°, sorted by position:
2θ/deg, Rel. int.
27.0, 31
28.3, 100
29.1, 8
32.4, 75
45.7, 24
47.3, 26
53.9, 10
55.4, 23
56.1, 12
58.6, 15
76.4, 9
78.5, 9